The following is a theoretical X-ray powder pattern of NaB15. It was derived from a cell relaxed with PBE, using λ = 1.5418 Å (Cu Kα).

Main lines, low angle first (15° ≤ 2θ ≤ 90°):
two_theta  I/Imax  (hkl)
18.48  204  1 0 1
25.36  417  1 2 1
30.57  202  2 0 0
35.30  1000  2 2 0
37.13  242  1 3 2
39.70  802  1 2 3
41.09  238  0 4 2
41.98  240  2 3 1
46.72  255  1 1 4
70.10  513  2 3 5

Structural model:
a b c (Å): 5.8479 10.3011 8.4161
angles (deg): 90.00 90.00 90.00
Space group Imma (No. 74)
Unique sites:
Na1 0.0000 0.2500 0.1612
B1 0.0000 0.1012 0.6530
B2 0.0000 0.1453 0.8938
B3 0.0000 0.1648 0.4537
B4 0.0000 0.2500 0.7530
B5 0.1607 0.0479 0.3346
B6 0.2477 0.0811 0.5367


The following is a theoretical X-ray powder pattern of Pm2PuNbN4. It was derived from a cell relaxed with PBE, using λ = 1.5418 Å (Cu Kα).

Main lines, low angle first (15° ≤ 2θ ≤ 90°):
two_theta  I/Imax  (hkl)
31.62  351  0 0 2
32.10  1000  2 0 0
37.01  642  1 1 1
37.27  314  2 0 -2
53.03  111  2 0 2
53.20  219  1 1 -3
53.86  215  3 1 -1
63.63  202  3 1 1
63.94  198  3 1 -3
67.14  163  4 0 0

Structural model:
a b c (Å): 5.8899 3.4173 5.9797
angles (deg): 90.00 108.82 90.00
Space group P2/m (No. 10)
Unique sites:
Pm1 0.0000 0.0000 0.0000
Pm2 0.5000 0.5000 0.0000
Pu1 0.0000 0.5000 0.5000
Nb1 0.5000 0.0000 0.5000
N1 0.2518 0.0000 0.7188
N2 0.2701 0.5000 0.2846